(1)
K2ThO3: simulated X-ray powder pattern (Cu Kα), based on the GGA-PBE geometry in the Materials Project.

The 8 most intense peaks (5° ≤ 2θ ≤ 70°), in order of rising 2θ:
two_theta	I/Imax	h k l
14.0	100	0 0 2
28.0	47	2 0 0
28.3	36	0 0 4
29.2	94	1 3 1
33.6	77	1 3 -3
33.7	38	2 0 2
47.7	26	1 3 5
48.9	38	0 6 0

```
data_K2ThO3
_space_group_name_H-M_alt 'C 1 2/c 1'
_space_group_IT_number 15
_cell_length_a 6.452
_cell_length_b 11.192
_cell_length_c 12.809
_cell_angle_alpha 90.00
_cell_angle_beta 99.92
_cell_angle_gamma 90.00
loop_
_space_group_symop_operation_xyz
'x,y,z'
'-x,-y,-z'
'-x,y,-z+1/2'
'x,-y,z+1/2'
'x+1/2,y+1/2,z'
'-x+1/2,-y+1/2,-z'
'-x+1/2,y+1/2,-z+1/2'
'x+1/2,-y+1/2,z+1/2'
loop_
_atom_site_label
_atom_site_type_symbol
_atom_site_fract_x
_atom_site_fract_y
_atom_site_fract_z
_atom_site_occupancy
K1 K 0.000 0.084 0.250 1
K2 K 0.237 0.078 0.999 1
K3 K 0.250 0.250 0.500 1
Th1 Th 0.000 0.250 0.750 1
Th2 Th 0.000 0.418 0.250 1
O1 O 0.082 0.416 0.652 1
O2 O 0.158 0.108 0.652 1
O3 O 0.159 0.277 0.153 1
```

=====

(2)
GeH3Cl: simulated X-ray powder pattern (Cu Kα), based on the GGA-PBE geometry in the Materials Project.

The 8 most intense peaks (5° ≤ 2θ ≤ 70°), in order of rising 2θ:
two_theta	I/Imax	h k l
19.2	62	1 1 0
20.7	23	0 0 2
21.8	75	1 1 1
23.2	79	2 0 0
28.3	100	1 1 2
37.4	19	0 2 2
44.0	28	3 1 2
44.5	34	0 2 3

```
data_GeH3Cl
_space_group_name_H-M_alt 'C m c 21'
_space_group_IT_number 36
_cell_length_a 7.682
_cell_length_b 5.807
_cell_length_c 8.583
_cell_angle_alpha 90.00
_cell_angle_beta 90.00
_cell_angle_gamma 90.00
loop_
_space_group_symop_operation_xyz
'x,y,z'
'-x,-y,z+1/2'
'-x,y,z'
'x,-y,z+1/2'
'x+1/2,y+1/2,z'
'-x+1/2,-y+1/2,z+1/2'
'-x+1/2,y+1/2,z'
'x+1/2,-y+1/2,z+1/2'
loop_
_atom_site_label
_atom_site_type_symbol
_atom_site_fract_x
_atom_site_fract_y
_atom_site_fract_z
_atom_site_occupancy
Ge1 Ge 0.000 0.063 0.000 1
H1 H 0.000 0.172 0.419 1
H2 H 0.167 0.116 0.090 1
Cl1 Cl 0.000 0.315 0.806 1
```

=====

(3)
Mg2SiS4: simulated X-ray powder pattern (Cu Kα), based on the GGA-PBE geometry in the Materials Project.

The 8 most intense peaks (5° ≤ 2θ ≤ 70°), in order of rising 2θ:
two_theta	I/Imax	h k l
18.2	30	2 1 0
29.0	32	1 2 1
31.5	100	2 2 1
31.7	56	4 0 1
41.2	61	2 2 2
48.7	31	0 4 0
49.2	52	6 2 0
54.2	37	2 2 3

```
data_Mg2SiS4
_space_group_name_H-M_alt 'P n m a'
_space_group_IT_number 62
_cell_length_a 12.806
_cell_length_b 7.478
_cell_length_c 5.959
_cell_angle_alpha 90.00
_cell_angle_beta 90.00
_cell_angle_gamma 90.00
loop_
_space_group_symop_operation_xyz
'x,y,z'
'-x,-y,-z'
'-x+1/2,-y,z+1/2'
'x+1/2,y,-z+1/2'
'x+1/2,-y+1/2,-z+1/2'
'-x+1/2,y+1/2,z+1/2'
'-x,y+1/2,-z'
'x,-y+1/2,z'
loop_
_atom_site_label
_atom_site_type_symbol
_atom_site_fract_x
_atom_site_fract_y
_atom_site_fract_z
_atom_site_occupancy
Mg1 Mg 0.000 0.000 0.000 1
Mg2 Mg 0.231 0.250 0.492 1
Si1 Si 0.089 0.750 0.407 1
S1 S 0.065 0.250 0.739 1
S2 S 0.093 0.750 0.762 1
S3 S 0.166 0.524 0.253 1
```